No. 1
Starting from a structure optimized by DFT (PBE), the XRD peak list of Al5Sb3Se3 was simulated for copper Kα.
Neutral-atom scattering factors, no anomalous dispersion.

Atomic structure:
```
data_Al5Sb3Se3
_chemical_formula_sum 'Al5 Sb3 Se3'
_cell_length_a 4.2033
_cell_length_b 12.5785
_cell_length_c 6.0949
_cell_angle_alpha 90.00
_cell_angle_beta 90.00
_cell_angle_gamma 90.00
_space_group_name_H-M_alt 'P 1'
_space_group_IT_number 1
_space_group_name_Hall 'P 1'
loop_
_atom_site_label
_atom_site_fract_x
_atom_site_fract_y
_atom_site_fract_z
Al1 0.0000 0.0000 0.0000
Al2 0.0000 0.3481 0.0471
Al3 0.0000 0.6519 0.0471
Al4 0.5000 0.1802 0.5037
Al5 0.5000 0.8198 0.5037
Sb1 0.0000 0.1816 0.7693
Sb2 0.0000 0.8184 0.7693
Sb3 0.5000 0.0000 0.2665
Se1 0.0000 0.5000 0.8246
Se2 0.5000 0.3427 0.2820
Se3 0.5000 0.6573 0.2820
```

Main lines, in order of falling intensity (15 to 90 degrees two-theta):
2θ/deg	Rel. int.
25.77	100
42.51	34
30.11	19
50.85	15
49.87	14
50.93	13
67.98	10
29.31	10
43.04	9
43.15	8

=====

No. 2
Starting from a structure optimized by DFT (PBE), the XRD peak list of Na14CdIn was simulated for copper Kα.
Neutral-atom scattering factors, no anomalous dispersion.

Atomic structure:
```
data_Na14CdIn
_chemical_formula_sum 'Na14 Cd1 In1'
_cell_length_a 11.6921
_cell_length_b 7.0097
_cell_length_c 7.0097
_cell_angle_alpha 67.66
_cell_angle_beta 90.00
_cell_angle_gamma 90.00
_space_group_name_H-M_alt 'P 1'
_space_group_IT_number 1
_space_group_name_Hall 'P 1'
loop_
_atom_site_label
_atom_site_fract_x
_atom_site_fract_y
_atom_site_fract_z
Na1 0.0000 0.0000 0.0000
Na2 0.0000 0.4971 0.4971
Na3 0.0000 0.5011 0.9970
Na4 0.0000 0.9970 0.5011
Na5 0.2534 0.2302 0.2302
Na6 0.2550 0.7227 0.7227
Na7 0.2711 0.2182 0.7239
Na8 0.2711 0.7239 0.2182
Na9 0.5000 0.4291 0.9334
Na10 0.5000 0.9334 0.4291
Na11 0.7289 0.2182 0.7239
Na12 0.7289 0.7239 0.2182
Na13 0.7450 0.7227 0.7227
Na14 0.7466 0.2302 0.2302
Cd1 0.5000 0.9243 0.9243
In1 0.5000 0.4280 0.4280
```

Main lines, in order of falling intensity (15 to 90 degrees two-theta):
2θ/deg	Rel. int.
31.56	100
15.19	35
30.58	30
17.01	29
28.57	23
27.51	22
54.97	19
31.67	18
30.71	18
36.04	17

=====

No. 3
Starting from a structure optimized by DFT (PBE), the XRD peak list of Ho5Sc2 was simulated for copper Kα.
Neutral-atom scattering factors, no anomalous dispersion.

Atomic structure:
```
data_Ho5Sc2
_chemical_formula_sum 'Ho5 Sc2'
_cell_length_a 8.5232
_cell_length_b 8.5232
_cell_length_c 8.5232
_cell_angle_alpha 37.52
_cell_angle_beta 37.52
_cell_angle_gamma 37.52
_space_group_name_H-M_alt 'P 1'
_space_group_IT_number 1
_space_group_name_Hall 'P 1'
loop_
_atom_site_label
_atom_site_fract_x
_atom_site_fract_y
_atom_site_fract_z
Ho1 0.0000 0.0000 0.0000
Ho2 0.2805 0.2805 0.2805
Ho3 0.4299 0.4299 0.4299
Ho4 0.5701 0.5701 0.5701
Ho5 0.7195 0.7195 0.7195
Sc1 0.1435 0.1435 0.1435
Sc2 0.8565 0.8565 0.8565
```

Main lines, in order of falling intensity (15 to 90 degrees two-theta):
2θ/deg	Rel. int.
32.67	100
32.44	100
58.16	37
46.71	36
57.73	21
58.30	19
24.00	17
77.81	16
77.43	15
67.93	14

=====

No. 4
Starting from a structure optimized by DFT (PBE), the XRD peak list of PrThCo4 was simulated for copper Kα.
Neutral-atom scattering factors, no anomalous dispersion.

Atomic structure:
```
data_PrThCo4
_chemical_formula_sum 'Pr1 Th1 Co4'
_cell_length_a 3.9526
_cell_length_b 4.1078
_cell_length_c 6.8071
_cell_angle_alpha 90.00
_cell_angle_beta 90.00
_cell_angle_gamma 90.00
_space_group_name_H-M_alt 'P 1'
_space_group_IT_number 1
_space_group_name_Hall 'P 1'
loop_
_atom_site_label
_atom_site_fract_x
_atom_site_fract_y
_atom_site_fract_z
Pr1 0.0000 0.0000 0.0000
Th1 0.5000 0.0000 0.5000
Co1 0.0000 0.5000 0.3356
Co2 0.0000 0.5000 0.6644
Co3 0.5000 0.5000 0.1715
Co4 0.5000 0.5000 0.8285
```

Main lines, in order of falling intensity (15 to 90 degrees two-theta):
2θ/deg	Rel. int.
34.15	100
46.13	23
26.07	16
65.71	15
58.49	14
44.09	13
45.92	11
74.69	10
51.96	8
65.55	8

=====

No. 5
Starting from a structure optimized by DFT (PBE), the XRD peak list of Y2Si7Ir12 was simulated for copper Kα.
Neutral-atom scattering factors, no anomalous dispersion.

Atomic structure:
```
data_Y2Si7Ir12
_chemical_formula_sum 'Y2 Si7 Ir12'
_cell_length_a 9.7492
_cell_length_b 9.7492
_cell_length_c 3.8953
_cell_angle_alpha 90.00
_cell_angle_beta 90.00
_cell_angle_gamma 120.00
_space_group_name_H-M_alt 'P 1'
_space_group_IT_number 1
_space_group_name_Hall 'P 1'
loop_
_atom_site_label
_atom_site_fract_x
_atom_site_fract_y
_atom_site_fract_z
Y1 0.3333 0.6667 0.2490
Y2 0.6667 0.3333 0.7510
Si1 0.0000 0.0000 0.0000
Si2 0.1153 0.4052 0.7483
Si3 0.2899 0.8847 0.7483
Si4 0.4052 0.2899 0.2517
Si5 0.5948 0.7101 0.7483
Si6 0.7101 0.1153 0.2517
Si7 0.8847 0.5948 0.2517
Ir1 0.0624 0.6189 0.7490
Ir2 0.1167 0.8548 0.2464
Ir3 0.1452 0.2620 0.2464
Ir4 0.2620 0.1167 0.7536
Ir5 0.3811 0.4436 0.7490
Ir6 0.4436 0.0624 0.2510
Ir7 0.5564 0.9376 0.7490
Ir8 0.6189 0.5564 0.2510
Ir9 0.7380 0.8833 0.2464
Ir10 0.8548 0.7380 0.7536
Ir11 0.8833 0.1452 0.7536
Ir12 0.9376 0.3811 0.2510
```

Main lines, in order of falling intensity (15 to 90 degrees two-theta):
2θ/deg	Rel. int.
36.40	100
46.91	24
27.96	19
46.63	17
45.18	17
18.20	15
68.29	14
49.47	14
83.99	11
29.35	11

=====

No. 6
Starting from a structure optimized by DFT (PBE), the XRD peak list of Sm3B3O7 was simulated for copper Kα.
Neutral-atom scattering factors, no anomalous dispersion.

Atomic structure:
```
data_Sm3B3O7
_chemical_formula_sum 'Sm6 B6 O14'
_cell_length_a 25.4920
_cell_length_b 4.1063
_cell_length_c 4.1063
_cell_angle_alpha 56.79
_cell_angle_beta 90.00
_cell_angle_gamma 90.00
_space_group_name_H-M_alt 'P 1'
_space_group_IT_number 1
_space_group_name_Hall 'P 1'
loop_
_atom_site_label
_atom_site_fract_x
_atom_site_fract_y
_atom_site_fract_z
Sm1 0.0815 0.0000 0.0000
Sm2 0.2544 0.9996 0.9996
Sm3 0.4179 0.9928 0.9928
Sm4 0.5821 0.9928 0.9928
Sm5 0.7456 0.9996 0.9996
Sm6 0.9185 0.0000 0.0000
B1 0.0000 0.7545 0.7545
B2 0.1679 0.3581 0.3581
B3 0.3360 0.7528 0.7528
B4 0.5000 0.2334 0.2334
B5 0.6640 0.7528 0.7528
B6 0.8321 0.3581 0.3581
O1 0.0475 0.6587 0.6587
O2 0.1167 0.3262 0.3262
O3 0.1680 0.9745 0.9745
O4 0.2191 0.3262 0.3262
O5 0.2881 0.6598 0.6598
O6 0.3831 0.6557 0.6557
O7 0.4524 0.3274 0.3274
O8 0.5476 0.3274 0.3274
O9 0.6169 0.6557 0.6557
O10 0.7119 0.6598 0.6598
O11 0.7809 0.3262 0.3262
O12 0.8320 0.9745 0.9745
O13 0.8833 0.3262 0.3262
O14 0.9525 0.6587 0.6587
```

Main lines, in order of falling intensity (15 to 90 degrees two-theta):
2θ/deg	Rel. int.
33.55	100
25.93	91
20.91	85
32.54	58
50.52	50
24.65	48
44.18	41
49.36	39
57.90	23
49.80	21